Simulated powder diffractogram
Compound: DyEr2Th2
Radiation: Cu Kα
Structure: the PBE geometry in Alexandria
Lines closer than 0.1° are merged.

Principal peaks in the range 2θ from 5° to 70°, in order of rising 2θ:
30.85 deg, intensity 100, (1 0 2); 31.07 deg, intensity 33, (5 0 0); 35.75 deg, intensity 23, (4 0 -2); 35.88 deg, intensity 45, (3 2 1); 51.72 deg, intensity 24, (6 0 2); 61.28 deg, intensity 19, (4 2 3)

Cell and atoms:
```
data_DyEr2Th2
_chemical_formula_sum 'Dy4 Er8 Th8'
_cell_length_a 14.5419
_cell_length_b 7.0883
_cell_length_c 6.1697
_cell_angle_alpha 90.00
_cell_angle_beta 98.20
_cell_angle_gamma 90.00
_space_group_name_H-M_alt 'P 1 21/c 1'
_space_group_IT_number 14
_space_group_name_Hall '-P 2ybc'
loop_
_atom_site_label
_atom_site_fract_x
_atom_site_fract_y
_atom_site_fract_z
_atom_site_occupancy
Dy1 0.1982 0.1266 0.1496 1
Er1 0.1967 0.6227 0.1479 1
Er2 0.4017 0.6248 0.5495 1
Th1 0.0006 0.6245 0.7488 1
Th2 0.4016 0.1290 0.5502 1
```

***

Simulated powder diffractogram
Compound: DyEr5Th3
Radiation: Cu Kα
Structure: the PBE geometry in Alexandria
Lines closer than 0.1° are merged.

Principal peaks in the range 2θ from 5° to 70°, in order of rising 2θ:
21.72 deg, intensity 60, (0 2 0); 27.55 deg, intensity 53, (2 2 1); 29.26 deg, intensity 45, (0 0 4); 29.50 deg, intensity 42, (3 1 2); 30.90 deg, intensity 100, (4 0 -2); 31.37 deg, intensity 51, (1 1 -4)

Cell and atoms:
```
data_DyEr5Th3
_chemical_formula_sum 'Dy4 Er20 Th12'
_cell_length_a 12.4670
_cell_length_b 8.1829
_cell_length_c 12.2830
_cell_angle_alpha 90.00
_cell_angle_beta 96.31
_cell_angle_gamma 90.00
_space_group_name_H-M_alt 'C 1 2/m 1'
_space_group_IT_number 12
_space_group_name_Hall '-C 2y'
loop_
_atom_site_label
_atom_site_fract_x
_atom_site_fract_y
_atom_site_fract_z
_atom_site_occupancy
Dy1 0.1398 0.0000 0.2669 1
Er1 0.0000 0.3287 0.0000 1
Er2 0.0573 0.5000 0.6211 1
Er3 0.1330 0.1948 0.7759 1
Er4 0.2431 0.5000 0.9774 1
Th1 0.0000 0.0000 0.0000 1
Th2 0.0000 0.0000 0.5000 1
Th3 0.1225 0.5000 0.2162 1
Th4 0.2395 0.5000 0.4544 1
```